1.
Calculated XRD peak list of CaAgIr2 for copper Kα, from a GGA-PBE-relaxed structure.

Crystal structure
Unit cell a=2.9339 b=4.6776 c=5.0176 alpha=90.00 beta=90.00 gamma=90.00
Sites, in units of the cell vectors:
Ca: 0.0000 0.0000 0.0000
Ag: 0.5000 0.5000 0.1426
Ir: 0.0000 0.5000 0.6151
Ir: 0.5000 0.0000 0.5116

The 12 most intense peaks (2θ from 10° to 90°), low angle first:
d [Å]  Position (°2θ)  intensity
5.018  17.68  39
2.533  35.44  12
2.509  35.79  22
2.485  36.14  14
2.339  38.49  33
2.227  40.50  100
2.211  40.81  25
1.766  51.78  10
1.711  53.57  14
1.453  64.09  11
1.328  70.99  19
1.234  77.31  13

2.
Calculated XRD peak list of Ho3TmSc for copper Kα, from a GGA-PBE-relaxed structure.

Crystal structure
Unit cell a=6.1140 b=6.5366 c=8.9670 alpha=107.61 beta=90.05 gamma=117.83
Sites, in units of the cell vectors:
Ho: 0.0664 0.2977 0.0515
Ho: 0.2657 0.6998 0.4503
Ho: 0.3339 0.4955 0.7473
Ho: 0.6661 0.5045 0.2527
Ho: 0.7343 0.3002 0.5497
Ho: 0.9336 0.7023 0.9485
Tm: 0.4673 0.0959 0.8474
Tm: 0.5327 0.9041 0.1526
Sc: 0.1308 0.0974 0.3526
Sc: 0.8692 0.9026 0.6474

The 12 most intense peaks (2θ from 10° to 90°), low angle first:
d [Å]  Position (°2θ)  intensity
3.061  29.17  24
2.752  32.54  24
2.675  33.50  100
2.046  44.26  15
1.770  51.65  7
1.766  51.76  13
1.573  58.67  20
1.488  62.42  15
1.486  62.52  7
1.476  63.00  11
1.473  63.13  5
1.132  85.86  6

3.
Calculated XRD peak list of Er3RhBr3 for copper Kα, from a GGA-PBE-relaxed structure.

Crystal structure
Unit cell a=8.4935 b=4.0607 c=11.7788 alpha=90.00 beta=91.69 gamma=90.00
Sites, in units of the cell vectors:
Er: 0.0998 0.2500 0.3264
Er: 0.1480 0.2500 0.8621
Er: 0.2662 0.7500 0.1011
Er: 0.7338 0.2500 0.8989
Er: 0.8520 0.7500 0.1379
Er: 0.9002 0.7500 0.6736
Rh: 0.0532 0.2500 0.0956
Rh: 0.9468 0.7500 0.9044
Br: 0.1323 0.2500 0.5991
Br: 0.3396 0.7500 0.3584
Br: 0.4329 0.7500 0.8688
Br: 0.5671 0.2500 0.1312
Br: 0.6604 0.2500 0.6416
Br: 0.8677 0.7500 0.4009

The 12 most intense peaks (2θ from 10° to 90°), low angle first:
d [Å]  Position (°2θ)  intensity
8.490  10.42  62
3.093  28.87  11
2.937  30.43  100
2.861  31.27  10
2.835  31.56  20
2.756  32.49  14
2.648  33.85  13
2.327  38.69  10
2.322  38.79  15
2.100  43.08  37
2.030  44.63  20
1.672  54.92  16

4.
Calculated XRD peak list of Ba3LiTi3O8 for copper Kα, from a GGA-PBE-relaxed structure.

Crystal structure
Unit cell a=5.9099 b=5.9099 c=7.8637 alpha=101.18 beta=101.18 gamma=59.29
Sites, in units of the cell vectors:
Ba: 0.0000 0.0000 0.0000
Ba: 0.2324 0.2324 0.4502
Ba: 0.6151 0.6151 0.7165
Li: 0.5040 0.5040 0.3130
Ti: 0.3254 0.3254 0.8924
Ti: 0.7032 0.7032 0.1515
Ti: 0.9166 0.9166 0.5486
O: 0.0133 0.4983 0.0517
O: 0.1117 0.6010 0.7366
O: 0.2209 0.7478 0.4458
O: 0.4983 0.0133 0.0517
O: 0.5164 0.5164 0.0652
O: 0.6010 0.1117 0.7366
O: 0.7253 0.7253 0.3970
O: 0.7478 0.2209 0.4458

The 12 most intense peaks (2θ from 10° to 90°), low angle first:
d [Å]  Position (°2θ)  intensity
4.453  19.94  18
3.826  23.25  14
3.233  27.59  12
2.923  30.58  22
2.901  30.82  100
2.514  35.71  12
2.322  38.78  16
2.226  40.52  10
1.907  47.68  24
1.683  54.51  19
1.516  61.15  9
1.478  62.90  10

5.
Calculated XRD peak list of CeSm3Zn8 for copper Kα, from a GGA-PBE-relaxed structure.

Crystal structure
Unit cell a=5.6159 b=5.6159 c=8.7291 alpha=90.00 beta=90.00 gamma=120.00
Sites, in units of the cell vectors:
Ce: 0.0000 0.0000 0.0000
Sm: 0.0000 0.0000 0.3747
Sm: 0.6667 0.3333 0.4983
Sm: 0.6667 0.3333 0.8841
Zn: 0.1652 0.3304 0.6892
Zn: 0.1652 0.8348 0.6892
Zn: 0.3333 0.6667 0.4409
Zn: 0.3333 0.6667 0.9401
Zn: 0.5004 0.0007 0.1911
Zn: 0.5004 0.4996 0.1911
Zn: 0.6696 0.8348 0.6892
Zn: 0.9993 0.4996 0.1911

The 12 most intense peaks (2θ from 10° to 90°), low angle first:
d [Å]  Position (°2θ)  intensity
2.808  31.87  55
2.497  35.97  78
2.432  36.97  14
2.361  38.11  100
2.343  38.43  60
2.182  41.37  10
1.621  56.79  11
1.554  59.48  35
1.520  60.97  25
1.418  65.86  28
1.404  66.61  24
1.224  78.09  16

6.
Calculated XRD peak list of Mg3FeIr for copper Kα, from a GGA-PBE-relaxed structure.

Crystal structure
Unit cell a=4.9129 b=4.9129 c=4.9129 alpha=90.00 beta=90.00 gamma=90.00
Sites, in units of the cell vectors:
Mg: 0.0000 0.0000 0.5000
Mg: 0.0000 0.5000 0.0000
Mg: 0.5000 0.0000 0.0000
Fe: 0.5000 0.5000 0.5000
Ir: 0.0000 0.0000 0.0000

The 12 most intense peaks (2θ from 10° to 90°), low angle first:
d [Å]  Position (°2θ)  intensity
4.913  18.06  55
3.474  25.64  100
2.456  36.58  43
2.197  41.08  29
2.006  45.21  44
1.737  52.70  29
1.638  56.17  15
1.554  59.50  19
1.418  65.85  10
1.313  71.91  22
1.158  83.48  11
1.099  89.14  13